# Ac3LaPm6
Simulated powder diffraction line list, Cu Kα X-rays. Input: a DFT-relaxed cell (PBE, Alexandria).

Crystal structure
Unit cell a=7.303 b=7.303 c=7.303 alpha=88.87 beta=88.87 gamma=88.87
Fractional positions:
Ac (0.000, 0.000, 0.000)
Ac (0.261, 0.261, 0.261)
Ac (0.521, 0.521, 0.521)
La (0.761, 0.761, 0.761)
Pm (0.018, 0.355, 0.689)
Pm (0.168, 0.834, 0.505)
Pm (0.355, 0.689, 0.018)
Pm (0.505, 0.168, 0.834)
Pm (0.689, 0.018, 0.355)
Pm (0.834, 0.505, 0.168)

Top 12 peaks for 2θ from 10° to 80°, by intensity:
- 30.28 deg, I = 100
- 27.10 deg, I = 59
- 29.48 deg, I = 23
- 38.78 deg, I = 22
- 53.79 deg, I = 20
- 51.88 deg, I = 20
- 41.08 deg, I = 20
- 17.34 deg, I = 17
- 34.41 deg, I = 15
- 46.48 deg, I = 14
- 62.98 deg, I = 13
- 52.68 deg, I = 12